Structure and calculated powder diffraction line list of Na2TmNiF8 (DFT lattice parameters and positions (PBE+U); Cu Kα X-rays).
Peak positions follow from Bragg's law for the DFT cell and can differ from measured ones.

Atomic structure:
Lattice parameters (Å, degrees): 4.943 6.596 5.183 90.00 91.59 90.00
Fractional positions:
Na (0.000, 0.238, 0.000)
Na (0.000, 0.762, 0.000)
Tm (0.500, 0.500, 0.500)
Ni (0.500, 0.000, 0.500)
F (0.200, 0.500, 0.208)
F (0.236, 0.000, 0.241)
F (0.319, 0.229, 0.674)
F (0.319, 0.771, 0.674)
F (0.681, 0.229, 0.326)
F (0.681, 0.771, 0.326)
F (0.764, 0.000, 0.759)
F (0.800, 0.500, 0.792)

Top 10 peaks for 10 to 80 degrees two-theta, by angle:
(0 0 1), 17.1 deg, rel. 100
(1 0 0), 18.0 deg, rel. 84
(1 0 -1), 24.5 deg, rel. 97
(1 0 1), 25.2 deg, rel. 77
(0 2 1), 32.2 deg, rel. 54
(1 2 0), 32.6 deg, rel. 51
(1 2 -1), 36.8 deg, rel. 65
(1 2 -2), 47.9 deg, rel. 37
(1 2 2), 48.7 deg, rel. 31
(2 2 -1), 48.9 deg, rel. 33